Entry 1:
Ac2Pm2Co: theoretical X-ray diffraction stick pattern (Cu Ka), based on DFT lattice parameters and positions (GGA-PBE).
Neutral-atom scattering factors, no anomalous dispersion.

Atomic structure:
```
data_Ac2Pm2Co
_chemical_formula_sum 'Ac8 Pm8 Co4'
_cell_length_a 5.0801
_cell_length_b 5.0801
_cell_length_c 25.7526
_cell_angle_alpha 90.00
_cell_angle_beta 90.00
_cell_angle_gamma 90.00
_symmetry_space_group_name_H-M 'I 41/a m d'
_symmetry_Int_Tables_number 141
loop_
_symmetry_equiv_pos_as_xyz
'x,y,z'
'-x,-y,-z'
'-y+1/4,x+3/4,z+1/4'
'y+1/4,-x+3/4,-z+1/4'
'-x+1/2,-y,z+1/2'
'x+1/2,y,-z+1/2'
'y+1/4,-x+1/4,z+3/4'
'-y+1/4,x+1/4,-z+3/4'
'x,-y,-z'
'-x,y,z'
'-y+1/4,-x+1/4,-z+3/4'
'y+1/4,x+1/4,z+3/4'
'-x+1/2,y,-z+1/2'
'x+1/2,-y,z+1/2'
'y+1/4,x+3/4,-z+1/4'
'-y+1/4,-x+3/4,z+1/4'
'x+1/2,y+1/2,z+1/2'
'-x+1/2,-y+1/2,-z+1/2'
'-y+3/4,x+1/4,z+3/4'
'y+3/4,-x+1/4,-z+3/4'
'-x,-y+1/2,z'
'x,y+1/2,-z'
'y+3/4,-x+3/4,z+1/4'
'-y+3/4,x+3/4,-z+1/4'
'x+1/2,-y+1/2,-z+1/2'
'-x+1/2,y+1/2,z+1/2'
'-y+3/4,-x+3/4,-z+1/4'
'y+3/4,x+3/4,z+1/4'
'-x,y+1/2,-z'
'x,-y+1/2,z'
'y+3/4,x+1/4,-z+3/4'
'-y+3/4,-x+1/4,z+3/4'
loop_
_atom_site_label
_atom_site_fract_x
_atom_site_fract_y
_atom_site_fract_z
_atom_site_occupancy
Ac1 0.0000 0.2500 0.0632 1
Pm1 0.0000 0.2500 0.1962 1
Co1 0.0000 0.2500 0.3750 1
```

The 10 most intense peaks (2θ from 10° to 80°), in order of falling intensity:
Position (°2θ)  d/Å  I_rel  index
32.50  2.755  100  1 1 6
25.75  3.460  86  1 1 2
35.34  2.540  64  2 0 0
45.49  1.994  42  2 0 8
27.71  3.219  39  0 0 8
61.65  1.505  32  3 1 6
43.23  2.093  24  1 1 10
50.84  1.796  23  2 2 0
58.88  1.568  20  2 2 8
57.84  1.594  19  3 1 2

***

Entry 2:
Pr3PuSe4: theoretical X-ray diffraction stick pattern (Cu Ka), based on DFT lattice parameters and positions (GGA-PBE).
Neutral-atom scattering factors, no anomalous dispersion.

Atomic structure:
```
data_Pr3PuSe4
_chemical_formula_sum 'Pr6 Pu2 Se8'
_cell_length_a 7.3501
_cell_length_b 8.4576
_cell_length_c 7.3353
_cell_angle_alpha 90.00
_cell_angle_beta 109.38
_cell_angle_gamma 90.00
_symmetry_space_group_name_H-M 'P 1 2/c 1'
_symmetry_Int_Tables_number 13
loop_
_symmetry_equiv_pos_as_xyz
'x,y,z'
'-x,-y,-z'
'-x,y,-z+1/2'
'x,-y,z+1/2'
loop_
_atom_site_label
_atom_site_fract_x
_atom_site_fract_y
_atom_site_fract_z
_atom_site_occupancy
Pr1 0.0000 0.1247 0.2500 1
Pr2 0.0000 0.3741 0.7500 1
Pr3 0.5000 0.3742 0.2500 1
Pu1 0.5000 0.1239 0.7500 1
Se1 0.2528 0.3717 0.5039 1
Se2 0.2574 0.1214 0.9993 1
```

The 10 most intense peaks (2θ from 10° to 80°), in order of falling intensity:
Position (°2θ)  d/Å  I_rel  index
29.82  2.996  100  1 2 1
42.63  2.121  38  2 0 2
42.73  2.116  37  0 4 0
25.75  3.459  23  2 0 0
52.98  1.728  20  0 0 4
70.19  1.341  17  3 2 3
70.33  1.339  17  0 4 4
61.95  1.498  12  2 4 2
78.16  1.223  11  1 2 5
78.27  1.222  8  1 6 -3

***

Entry 3:
AcSm6Y3: theoretical X-ray diffraction stick pattern (Cu Ka), based on DFT lattice parameters and positions (GGA-PBE).
Neutral-atom scattering factors, no anomalous dispersion.

Atomic structure:
```
data_AcSm6Y3
_chemical_formula_sum 'Ac4 Sm24 Y12'
_cell_length_a 9.8826
_cell_length_b 21.5167
_cell_length_c 6.5362
_cell_angle_alpha 90.00
_cell_angle_beta 90.00
_cell_angle_gamma 90.00
_symmetry_space_group_name_H-M 'C m c 21'
_symmetry_Int_Tables_number 36
loop_
_symmetry_equiv_pos_as_xyz
'x,y,z'
'-x,-y,z+1/2'
'-x,y,z'
'x,-y,z+1/2'
'x+1/2,y+1/2,z'
'-x+1/2,-y+1/2,z+1/2'
'-x+1/2,y+1/2,z'
'x+1/2,-y+1/2,z+1/2'
loop_
_atom_site_label
_atom_site_fract_x
_atom_site_fract_y
_atom_site_fract_z
_atom_site_occupancy
Ac1 0.0000 0.1539 0.0000 1
Sm1 0.0000 0.0101 0.7501 1
Sm2 0.0000 0.3009 0.7908 1
Sm3 0.1732 0.2816 0.3290 1
Sm4 0.1790 0.4416 0.5696 1
Y1 0.0000 0.4183 0.0969 1
Y2 0.1735 0.1288 0.4811 1
```

The 10 most intense peaks (2θ from 10° to 80°), in order of falling intensity:
Position (°2θ)  d/Å  I_rel  index
30.67  2.915  100  3 1 1
31.41  2.848  74  1 3 2
30.46  2.935  72  1 7 0
28.06  3.179  64  2 4 1
32.91  2.722  50  3 3 1
55.20  1.664  45  5 7 0
32.05  2.793  38  0 4 2
33.79  2.653  36  2 6 1
55.83  1.647  36  6 0 0
28.55  3.127  35  0 2 2

***

Entry 4:
Ac2Cu3Sn4Ir: theoretical X-ray diffraction stick pattern (Cu Ka), based on DFT lattice parameters and positions (GGA-PBE).
Neutral-atom scattering factors, no anomalous dispersion.

Atomic structure:
```
data_Ac2Cu3Sn4Ir
_chemical_formula_sum 'Ac2 Cu3 Sn4 Ir1'
_cell_length_a 4.6480
_cell_length_b 4.6480
_cell_length_c 10.7119
_cell_angle_alpha 90.00
_cell_angle_beta 90.00
_cell_angle_gamma 90.00
_symmetry_space_group_name_H-M 'P -4 m 2'
_symmetry_Int_Tables_number 115
loop_
_symmetry_equiv_pos_as_xyz
'x,y,z'
'y,-x,-z'
'-x,-y,z'
'-y,x,-z'
'-x,y,z'
'-y,-x,-z'
'x,-y,z'
'y,x,-z'
loop_
_atom_site_label
_atom_site_fract_x
_atom_site_fract_y
_atom_site_fract_z
_atom_site_occupancy
Ac1 0.0000 0.5000 0.2361 1
Cu1 0.0000 0.0000 0.0000 1
Cu2 0.0000 0.5000 0.6312 1
Sn1 0.0000 0.0000 0.5000 1
Sn2 0.0000 0.5000 0.8759 1
Sn3 0.5000 0.5000 0.5000 1
Ir1 0.5000 0.5000 0.0000 1
```

The 10 most intense peaks (2θ from 10° to 80°), in order of falling intensity:
Position (°2θ)  d/Å  I_rel  index
31.95  2.801  100  1 1 2
38.75  2.324  62  2 0 0
31.60  2.832  56  1 0 3
50.83  1.796  30  2 1 3
65.90  1.417  26  3 1 2
55.96  1.643  23  2 2 0
46.68  1.946  20  1 0 5
62.23  1.492  17  2 1 5
58.87  1.569  15  1 1 6
20.83  4.264  13  1 0 1